Record 1
Diffraction record for SrHCl. The powder diffractogram is computed, not measured: it uses a structure optimized by DFT (PBE) and Cu Kα (λ = 1.5418 Å).
No peak broadening, texture or thermal motion is included.

Crystal structure
```
data_SrHCl
_chemical_formula_sum 'Sr2 H2 Cl2'
_symmetry_space_group_name_H-M 'P 1'
_symmetry_Int_Tables_number 1
_symmetry_space_group_name_Hall 'P 1'
_cell_length_a 4.1279
_cell_length_b 4.1279
_cell_length_c 7.0373
_cell_angle_alpha 90.00
_cell_angle_beta 90.00
_cell_angle_gamma 90.00
loop_
_atom_site_label
_atom_site_fract_x
_atom_site_fract_y
_atom_site_fract_z
Sr1 0.2500 0.2500 0.2001
Sr2 0.7500 0.7500 0.7999
H1 0.2500 0.7500 0.0000
H2 0.7500 0.2500 0.0000
Cl1 0.2500 0.2500 0.6502
Cl2 0.7500 0.7500 0.3498
```

The 8 most intense peaks (10° ≤ 2θ ≤ 90°), most intense first:
2theta, I (rel.)
30.6, 100
33.5, 77
25.0, 63
40.1, 44
43.9, 37
25.3, 36
56.3, 31
56.9, 24


Record 2
Diffraction record for ZrHCl. The powder diffractogram is computed, not measured: it uses a structure optimized by DFT (PBE) and Cu Kα (λ = 1.5418 Å).
No peak broadening, texture or thermal motion is included.

Crystal structure
```
data_ZrHCl
_chemical_formula_sum 'Zr2 H2 Cl2'
_symmetry_space_group_name_H-M 'P 1'
_symmetry_Int_Tables_number 1
_symmetry_space_group_name_Hall 'P 1'
_cell_length_a 3.3592
_cell_length_b 3.3592
_cell_length_c 9.9971
_cell_angle_alpha 90.00
_cell_angle_beta 90.00
_cell_angle_gamma 120.00
loop_
_atom_site_label
_atom_site_fract_x
_atom_site_fract_y
_atom_site_fract_z
Zr1 0.3333 0.6667 0.1491
Zr2 0.6667 0.3333 0.8509
H1 0.3333 0.6667 0.9439
H2 0.6667 0.3333 0.0561
Cl1 0.3333 0.6667 0.6742
Cl2 0.6667 0.3333 0.3258
```

The 8 most intense peaks (10° ≤ 2θ ≤ 90°), most intense first:
2theta, I (rel.)
35.7, 100
30.7, 30
48.0, 29
32.0, 22
17.7, 22
54.6, 21
67.0, 15
35.9, 12


Record 3
Diffraction record for NaHf8N8Cl8. The powder diffractogram is computed, not measured: it uses a structure optimized by DFT (PBE) and Cu Kα (λ = 1.5418 Å).
No peak broadening, texture or thermal motion is included.

Crystal structure
```
data_NaHf8N8Cl8
_chemical_formula_sum 'Na1 Hf8 N8 Cl8'
_symmetry_space_group_name_H-M 'P 1'
_symmetry_Int_Tables_number 1
_symmetry_space_group_name_Hall 'P 1'
_cell_length_a 6.2304
_cell_length_b 3.6327
_cell_length_c 19.8117
_cell_angle_alpha 90.00
_cell_angle_beta 95.82
_cell_angle_gamma 90.00
loop_
_atom_site_label
_atom_site_fract_x
_atom_site_fract_y
_atom_site_fract_z
Na1 0.0000 0.0000 0.0000
Hf1 0.1025 0.5000 0.8078
Hf2 0.1055 0.0000 0.3207
Hf3 0.3934 0.5000 0.6788
Hf4 0.4002 0.0000 0.1935
Hf5 0.5998 0.0000 0.8065
Hf6 0.6066 0.5000 0.3212
Hf7 0.8945 0.0000 0.6793
Hf8 0.8975 0.5000 0.1922
N1 0.0658 0.5000 0.7006
N2 0.0700 0.0000 0.2096
N3 0.4318 0.5000 0.7898
N4 0.4344 0.0000 0.3000
N5 0.5656 0.0000 0.7000
N6 0.5682 0.5000 0.2102
N7 0.9300 0.0000 0.7904
N8 0.9342 0.5000 0.2994
Cl1 0.1955 0.0000 0.5869
Cl2 0.1971 0.5000 0.0906
Cl3 0.3029 0.0000 0.9072
Cl4 0.3044 0.5000 0.4130
Cl5 0.6956 0.5000 0.5870
Cl6 0.6971 0.0000 0.0928
Cl7 0.8029 0.5000 0.9094
Cl8 0.8045 0.0000 0.4131
```

The 8 most intense peaks (10° ≤ 2θ ≤ 90°), most intense first:
2theta, I (rel.)
32.3, 100
29.1, 68
35.7, 67
42.0, 50
32.5, 49
50.6, 36
29.3, 34
36.5, 29


Record 4
Diffraction record for NaHf3N3Cl3. The powder diffractogram is computed, not measured: it uses a structure optimized by DFT (PBE) and Cu Kα (λ = 1.5418 Å).
No peak broadening, texture or thermal motion is included.

Crystal structure
```
data_NaHf3N3Cl3
_chemical_formula_sum 'Na2 Hf6 N6 Cl6'
_symmetry_space_group_name_H-M 'P 1'
_symmetry_Int_Tables_number 1
_symmetry_space_group_name_Hall 'P 1'
_cell_length_a 6.3284
_cell_length_b 6.3284
_cell_length_c 10.4016
_cell_angle_alpha 95.82
_cell_angle_beta 95.82
_cell_angle_gamma 120.01
loop_
_atom_site_label
_atom_site_fract_x
_atom_site_fract_y
_atom_site_fract_z
Na1 0.1667 0.8333 0.0000
Na2 0.8333 0.1667 0.0000
Hf1 0.0383 0.3722 0.6165
Hf2 0.2940 0.2940 0.3839
Hf3 0.3722 0.0383 0.6165
Hf4 0.6278 0.9617 0.3835
Hf5 0.7060 0.7060 0.6161
Hf6 0.9617 0.6278 0.3835
N1 0.0301 0.6967 0.5904
N2 0.3033 0.9699 0.4096
N3 0.3638 0.3638 0.5914
N4 0.6362 0.6362 0.4086
N5 0.6967 0.0301 0.5904
N6 0.9699 0.3033 0.4096
Cl1 0.1029 0.1029 0.8182
Cl2 0.2242 0.5606 0.1818
Cl3 0.4394 0.7758 0.8182
Cl4 0.5606 0.2242 0.1818
Cl5 0.7758 0.4394 0.8182
Cl6 0.8971 0.8971 0.1818
```

The 8 most intense peaks (10° ≤ 2θ ≤ 90°), most intense first:
2theta, I (rel.)
31.8, 100
28.8, 52
41.1, 44
35.0, 34
49.9, 33
50.8, 25
62.6, 20
69.1, 19


Record 5
Diffraction record for HfSCl6O. The powder diffractogram is computed, not measured: it uses a structure optimized by DFT (PBE) and Cu Kα (λ = 1.5418 Å).
No peak broadening, texture or thermal motion is included.

Crystal structure
```
data_HfSCl6O
_chemical_formula_sum 'Hf4 S4 Cl24 O4'
_symmetry_space_group_name_H-M 'P 1'
_symmetry_Int_Tables_number 1
_symmetry_space_group_name_Hall 'P 1'
_cell_length_a 7.0163
_cell_length_b 22.2534
_cell_length_c 7.6098
_cell_angle_alpha 90.00
_cell_angle_beta 115.01
_cell_angle_gamma 90.00
loop_
_atom_site_label
_atom_site_fract_x
_atom_site_fract_y
_atom_site_fract_z
Hf1 0.0017 0.0741 0.1513
Hf2 0.0017 0.4259 0.6513
Hf3 0.9983 0.5741 0.3487
Hf4 0.9983 0.9259 0.8487
S1 0.3720 0.6396 0.8203
S2 0.3720 0.8604 0.3203
S3 0.6280 0.1396 0.6797
S4 0.6280 0.3604 0.1797
Cl1 0.1819 0.1651 0.1689
Cl2 0.1819 0.3349 0.6689
Cl3 0.1967 0.0261 0.9623
Cl4 0.1967 0.4739 0.4623
Cl5 0.2130 0.7179 0.8192
Cl6 0.2130 0.7821 0.3192
Cl7 0.2381 0.0339 0.4474
Cl8 0.2381 0.4661 0.9474
Cl9 0.2526 0.6088 0.2485
Cl10 0.2526 0.8912 0.7485
Cl11 0.4055 0.1741 0.7619
Cl12 0.4055 0.3259 0.2619
Cl13 0.5945 0.6741 0.7381
Cl14 0.5945 0.8259 0.2381
Cl15 0.7474 0.1088 0.2515
Cl16 0.7474 0.3912 0.7515
Cl17 0.7619 0.5339 0.0526
Cl18 0.7619 0.9661 0.5526
Cl19 0.7870 0.2179 0.6808
Cl20 0.7870 0.2821 0.1808
Cl21 0.8033 0.5261 0.5377
Cl22 0.8033 0.9739 0.0377
Cl23 0.8181 0.6651 0.3311
Cl24 0.8181 0.8349 0.8311
O1 0.2269 0.6028 0.6572
O2 0.2269 0.8972 0.1572
O3 0.7731 0.1028 0.8428
O4 0.7731 0.3972 0.3428
```

The 8 most intense peaks (10° ≤ 2θ ≤ 90°), most intense first:
2theta, I (rel.)
20.5, 100
16.5, 97
15.0, 89
13.9, 83
31.5, 78
16.1, 77
13.4, 67
24.1, 65


Record 6
Diffraction record for HfTe6Cl6. The powder diffractogram is computed, not measured: it uses a structure optimized by DFT (PBE) and Cu Kα (λ = 1.5418 Å).
No peak broadening, texture or thermal motion is included.

Crystal structure
```
data_HfTe6Cl6
_chemical_formula_sum 'Hf4 Te24 Cl24'
_symmetry_space_group_name_H-M 'P 1'
_symmetry_Int_Tables_number 1
_symmetry_space_group_name_Hall 'P 1'
_cell_length_a 11.3826
_cell_length_b 11.3968
_cell_length_c 13.1363
_cell_angle_alpha 90.00
_cell_angle_beta 90.00
_cell_angle_gamma 90.00
loop_
_atom_site_label
_atom_site_fract_x
_atom_site_fract_y
_atom_site_fract_z
Hf1 0.2367 0.2076 0.2500
Hf2 0.2367 0.2924 0.7500
Hf3 0.7633 0.7076 0.2500
Hf4 0.7633 0.7924 0.7500
Te1 0.1142 0.6351 0.5320
Te2 0.1142 0.6351 0.9680
Te3 0.1142 0.8649 0.0320
Te4 0.1142 0.8649 0.4680
Te5 0.2258 0.7421 0.7500
Te6 0.2258 0.7579 0.2500
Te7 0.3149 0.6000 0.0961
Te8 0.3149 0.6000 0.4039
Te9 0.3149 0.9000 0.5961
Te10 0.3149 0.9000 0.9039
Te11 0.4757 0.7500 0.0000
Te12 0.4757 0.7500 0.5000
Te13 0.5243 0.2500 0.0000
Te14 0.5243 0.2500 0.5000
Te15 0.6851 0.1000 0.0961
Te16 0.6851 0.1000 0.4039
Te17 0.6851 0.4000 0.5961
Te18 0.6851 0.4000 0.9039
Te19 0.7742 0.2421 0.7500
Te20 0.7742 0.2579 0.2500
Te21 0.8858 0.1351 0.5320
Te22 0.8858 0.1351 0.9680
Te23 0.8858 0.3649 0.0320
Te24 0.8858 0.3649 0.4680
Cl1 0.0816 0.0589 0.2500
Cl2 0.0816 0.4411 0.7500
Cl3 0.1364 0.1733 0.6196
Cl4 0.1364 0.1733 0.8804
Cl5 0.1364 0.3267 0.1196
Cl6 0.1364 0.3267 0.3804
Cl7 0.3418 0.0916 0.1168
Cl8 0.3418 0.0916 0.3832
Cl9 0.3418 0.4084 0.6168
Cl10 0.3418 0.4084 0.8832
Cl11 0.3989 0.1545 0.7500
Cl12 0.3989 0.3455 0.2500
Cl13 0.6011 0.6545 0.7500
Cl14 0.6011 0.8455 0.2500
Cl15 0.6582 0.5916 0.1168
Cl16 0.6582 0.5916 0.3832
Cl17 0.6582 0.9084 0.6168
Cl18 0.6582 0.9084 0.8832
Cl19 0.8636 0.6733 0.6196
Cl20 0.8636 0.6733 0.8804
Cl21 0.8636 0.8267 0.1196
Cl22 0.8636 0.8267 0.3804
Cl23 0.9184 0.5589 0.2500
Cl24 0.9184 0.9411 0.7500
```

The 8 most intense peaks (10° ≤ 2θ ≤ 90°), most intense first:
2theta, I (rel.)
15.6, 100
26.0, 92
17.4, 82
20.6, 63
45.0, 59
26.8, 52
28.3, 52
31.4, 45


Record 7
Diffraction record for Hg3Cl. The powder diffractogram is computed, not measured: it uses a structure optimized by DFT (PBE) and Cu Kα (λ = 1.5418 Å).
No peak broadening, texture or thermal motion is included.

Crystal structure
```
data_Hg3Cl
_chemical_formula_sum 'Hg12 Cl4'
_symmetry_space_group_name_H-M 'P 1'
_symmetry_Int_Tables_number 1
_symmetry_space_group_name_Hall 'P 1'
_cell_length_a 7.5493
_cell_length_b 7.5493
_cell_length_c 7.5493
_cell_angle_alpha 90.00
_cell_angle_beta 90.00
_cell_angle_gamma 90.00
loop_
_atom_site_label
_atom_site_fract_x
_atom_site_fract_y
_atom_site_fract_z
Hg1 0.0000 0.0000 0.0000
Hg2 0.0000 0.5000 0.5000
Hg3 0.2500 0.2500 0.2500
Hg4 0.2500 0.2500 0.7500
Hg5 0.2500 0.7500 0.2500
Hg6 0.2500 0.7500 0.7500
Hg7 0.5000 0.0000 0.5000
Hg8 0.5000 0.5000 0.0000
Hg9 0.7500 0.2500 0.2500
Hg10 0.7500 0.2500 0.7500
Hg11 0.7500 0.7500 0.2500
Hg12 0.7500 0.7500 0.7500
Cl1 0.0000 0.0000 0.5000
Cl2 0.0000 0.5000 0.0000
Cl3 0.5000 0.0000 0.0000
Cl4 0.5000 0.5000 0.5000
```

The 8 most intense peaks (10° ≤ 2θ ≤ 90°), most intense first:
2theta, I (rel.)
33.6, 100
60.0, 38
48.2, 18
80.5, 17
20.4, 14
70.6, 12
39.6, 9
23.6, 8


Record 8
Diffraction record for HgCl2. The powder diffractogram is computed, not measured: it uses a structure optimized by DFT (PBE) and Cu Kα (λ = 1.5418 Å).
No peak broadening, texture or thermal motion is included.

Crystal structure
```
data_HgCl2
_chemical_formula_sum 'Hg4 Cl8'
_symmetry_space_group_name_H-M 'P 1'
_symmetry_Int_Tables_number 1
_symmetry_space_group_name_Hall 'P 1'
_cell_length_a 16.6512
_cell_length_b 8.3043
_cell_length_c 6.0887
_cell_angle_alpha 90.00
_cell_angle_beta 90.00
_cell_angle_gamma 90.00
loop_
_atom_site_label
_atom_site_fract_x
_atom_site_fract_y
_atom_site_fract_z
Hg1 0.1244 0.2500 0.1019
Hg2 0.3756 0.7500 0.6019
Hg3 0.6244 0.2500 0.3981
Hg4 0.8756 0.7500 0.8981
Cl1 0.0009 0.2500 0.9393
Cl2 0.2487 0.2500 0.2598
Cl3 0.2513 0.7500 0.7598
Cl4 0.4991 0.7500 0.4393
Cl5 0.5009 0.2500 0.5607
Cl6 0.7487 0.2500 0.2402
Cl7 0.7513 0.7500 0.7402
Cl8 0.9991 0.7500 0.0607
```

The 8 most intense peaks (10° ≤ 2θ ≤ 90°), most intense first:
2theta, I (rel.)
15.1, 100
18.1, 58
15.5, 53
21.4, 52
18.8, 37
26.5, 30
34.1, 28
28.1, 28